# 1
# Ta6AlGa3
Computed X-ray diffraction stick pattern, copper Kα. Input: a cell relaxed with GGA-PBE.
No peak broadening, texture or thermal motion is included.

Principal peaks in the range 2θ from 10° to 80°, by intensity:
2θ/deg	I (rel.)
38.17	100
39.09	96
38.53	89
37.41	83
39.99	81
38.95	78

```
data_Ta6AlGa3
_cell_length_a 7.152
_cell_length_b 6.599
_cell_length_c 9.858
_cell_angle_alpha 90.00
_cell_angle_beta 129.74
_cell_angle_gamma 90.00
_space_group_name_H-M_alt 'P 1 21/c 1'
_space_group_IT_number 14
loop_
_space_group_symop_operation_xyz
'x,y,z'
'-x,-y,-z'
'-x,y+1/2,-z+1/2'
'x,-y+1/2,z+1/2'
loop_
_atom_site_label
_atom_site_type_symbol
_atom_site_fract_x
_atom_site_fract_y
_atom_site_fract_z
Ta1 Ta 0.025 0.138 0.306
Ta2 Ta 0.276 0.195 0.709
Ta3 Ta 0.400 0.614 0.853
Al1 Al 0.000 0.000 0.000
Ga1 Ga 0.244 0.675 0.051
Ga2 Ga 0.500 0.000 0.000
```

***

# 2
# Tb3Al2Ga7
Computed X-ray diffraction stick pattern, copper Kα. Input: a cell relaxed with GGA-PBE.
No peak broadening, texture or thermal motion is included.

Principal peaks in the range 2θ from 10° to 80°, by intensity:
2θ/deg	I (rel.)
35.76	100
42.78	60
39.80	34
30.92	33
29.89	30
59.21	28

```
data_Tb3Al2Ga7
_cell_length_a 4.227
_cell_length_b 4.227
_cell_length_c 27.761
_cell_angle_alpha 90.00
_cell_angle_beta 90.00
_cell_angle_gamma 90.00
_space_group_name_H-M_alt 'I 4/m m m'
_space_group_IT_number 139
_space_group_name_Hall '-I 4 2'
loop_
_atom_site_label
_atom_site_type_symbol
_atom_site_fract_x
_atom_site_fract_y
_atom_site_fract_z
Tb1 Tb 0.000 0.000 0.000
Tb2 Tb 0.000 0.000 0.161
Al1 Al 0.000 0.000 0.360
Ga1 Ga 0.000 0.000 0.266
Ga2 Ga 0.000 0.000 0.500
Ga3 Ga 0.000 0.500 0.079
```

***

# 3
# TbAl2Ga3
Computed X-ray diffraction stick pattern, copper Kα. Input: a cell relaxed with GGA-PBE.
No peak broadening, texture or thermal motion is included.

Principal peaks in the range 2θ from 10° to 80°, by intensity:
2θ/deg	I (rel.)
36.61	100
39.28	72
26.59	35
54.77	31
69.46	30
22.38	28

```
data_TbAl2Ga3
_cell_length_a 4.5876
_cell_length_b 4.5876
_cell_length_c 6.2445
_cell_angle_alpha 90.00
_cell_angle_beta 90.00
_cell_angle_gamma 120.00
_space_group_name_H-M_alt 'P -3 m 1'
_space_group_IT_number 164
_space_group_name_Hall '-P 3 2"'
loop_
_atom_site_label
_atom_site_type_symbol
_atom_site_fract_x
_atom_site_fract_y
_atom_site_fract_z
Tb1 Tb 0.0000 0.0000 0.0000
Al1 Al 0.3333 0.6667 0.6973
Ga1 Ga 0.0000 0.0000 0.5000
Ga2 Ga 0.3333 0.6667 0.2590
```

***

# 4
# Tb5AlGa2
Computed X-ray diffraction stick pattern, copper Kα. Input: a cell relaxed with GGA-PBE.
No peak broadening, texture or thermal motion is included.

Principal peaks in the range 2θ from 10° to 80°, by intensity:
2θ/deg	I (rel.)
32.03	100
36.98	37
34.14	35
52.67	18
26.66	18
37.52	16

```
data_Tb5AlGa2
_cell_length_a 7.688
_cell_length_b 7.688
_cell_length_c 14.384
_cell_angle_alpha 90.00
_cell_angle_beta 90.00
_cell_angle_gamma 90.00
_space_group_name_H-M_alt 'I 4/m c m'
_space_group_IT_number 140
_space_group_name_Hall '-I 4 2c'
loop_
_atom_site_label
_atom_site_type_symbol
_atom_site_fract_x
_atom_site_fract_y
_atom_site_fract_z
Tb1 Tb 0.000 0.000 0.000
Tb2 Tb 0.171 0.329 0.147
Al1 Al 0.000 0.000 0.250
Ga1 Ga 0.121 0.379 0.500
```